# PrEr2TmBi4
Calculated PXRD pattern, Cu Kα (weighted mean of Kα1 and Kα2). Input: a GGA-PBE-relaxed structure.

Peak list (10 most intense, 5° ≤ 2θ ≤ 70°, in order of rising 2θ)
2theta  I_rel
12.06  1
24.25  3
28.07  100
36.74  1
40.12  78
47.43  2
49.68  28
58.03  13
63.81  1
65.68  37

Crystal structure
```
data_PrEr2TmBi4
_symmetry_space_group_name_H-M 'P 1 2/m 1'
_symmetry_Int_Tables_number 10
_cell_length_a 7.782
_cell_length_b 4.499
_cell_length_c 7.785
_cell_angle_alpha 90.00
_cell_angle_beta 109.50
_cell_angle_gamma 90.00
loop_
_symmetry_equiv_pos_as_xyz
'x,y,z'
'-x,-y,-z'
'-x,y,-z'
'x,-y,z'
loop_
_atom_site_label
_atom_site_fract_x
_atom_site_fract_y
_atom_site_fract_z
_atom_site_occupancy
Pr1 0.000 0.000 0.000 1
Er1 0.000 0.500 0.500 1
Er2 0.500 0.000 0.500 1
Tm1 0.500 0.500 0.000 1
Bi1 0.255 0.000 0.746 1
Bi2 0.259 0.500 0.258 1
```